AcErGe4: computed powder diffractogram (Cu Kα X-rays), based on a crystal structure in Alexandria, relaxed with GGA-PBE.

Cell and atoms:
```
AcErGe4
1.0
7.875 0.000 0.000
0.000 17.616 0.000
0.000 0.000 4.206
Ac Er Ge
4 4 16
direct
0.137 0.165 0.000
0.363 0.665 0.000
0.637 0.335 0.000
0.863 0.835 0.000
0.137 0.414 0.000
0.363 0.914 0.000
0.637 0.086 0.000
0.863 0.586 0.000
0.024 0.684 0.500
0.095 0.939 0.500
0.150 0.539 0.500
0.204 0.803 0.500
0.296 0.303 0.500
0.350 0.039 0.500
0.405 0.439 0.500
0.476 0.184 0.500
0.524 0.816 0.500
0.595 0.561 0.500
0.650 0.961 0.500
0.704 0.697 0.500
0.796 0.197 0.500
0.850 0.461 0.500
0.905 0.061 0.500
0.976 0.316 0.500
```

The 8 most intense peaks (2θ = 15–90°), sorted by position:
| 2θ (°) | d (Å) | I_rel | index |
| --- | --- | --- | --- |
| 23.14 | 3.843 | 27 | 1 4 0 |
| 28.46 | 3.136 | 18 | 1 3 1 |
| 29.37 | 3.042 | 18 | 0 4 1 |
| 31.54 | 2.837 | 100 | 2 1 1 |
| 34.75 | 2.582 | 21 | 2 3 1 |
| 35.13 | 2.555 | 19 | 1 5 1 |
| 37.53 | 2.397 | 17 | 3 3 0 |
| 43.00 | 2.103 | 29 | 0 0 2 |